Record 1
# In2Co
Theoretical powder XRD pattern, λ = 1.5418 Å (Cu Kα). Input: DFT lattice parameters and positions (PBE).
Kinematic intensities with the Lorentz-polarization factor, no thermal factor.

Top 8 peaks for 2θ = 10–90°, by angle:
2θ 31.76, rel. 49; 2θ 33.45, rel. 69; 2θ 35.65, rel. 100; 2θ 36.44, rel. 41; 2θ 40.48, rel. 69; 2θ 43.20, rel. 51; 2θ 44.37, rel. 70; 2θ 61.20, rel. 26

Cell and atoms:
```
12
Lattice="0.0000 4.7448 8.9172 2.6244 0.0000 8.9172 2.6244 4.7448 0.0000" Properties=species:S:1:pos:R:3 pbc="T T T"
In 0.6561 1.1862 0.6339
In 0.6561 1.1862 3.8247
In 1.9683 2.0527 6.6879
In 3.2805 4.4251 11.1465
In 1.9683 5.0646 6.6879
In 3.2805 7.4370 11.1465
In 4.5928 8.3034 14.0096
In 4.5928 8.3034 17.2005
Co 1.9683 3.5586 4.3954
Co 3.2805 5.9310 8.8540
Co 1.9683 3.5586 8.9803
Co 3.2805 5.9310 13.4389
```



Record 2
# InCoNiIr
Theoretical powder XRD pattern, λ = 1.5418 Å (Cu Kα). Input: DFT lattice parameters and positions (PBE).
Kinematic intensities with the Lorentz-polarization factor, no thermal factor.

Top 8 peaks for 2θ = 10–90°, by angle:
2θ 25.26, rel. 25; 2θ 29.24, rel. 3; 2θ 41.83, rel. 100; 2θ 49.50, rel. 13; 2θ 60.65, rel. 16; 2θ 66.76, rel. 5; 2θ 76.39, rel. 33; 2θ 81.97, rel. 4

Cell and atoms:
```
16
Lattice="6.1076 0.0000 0.0000 0.0000 6.1076 0.0000 0.0000 0.0000 6.1076" Properties=species:S:1:pos:R:3 pbc="T T T"
In 0.0000 0.0000 0.0000
In 0.0000 3.0538 3.0538
In 3.0538 0.0000 3.0538
In 3.0538 3.0538 0.0000
Co 1.5269 1.5269 1.5269
Co 1.5269 4.5807 4.5807
Co 4.5807 1.5269 4.5807
Co 4.5807 4.5807 1.5269
Ni 0.0000 0.0000 3.0538
Ni 0.0000 3.0538 0.0000
Ni 3.0538 0.0000 0.0000
Ni 3.0538 3.0538 3.0538
Ir 1.5269 1.5269 4.5807
Ir 1.5269 4.5807 1.5269
Ir 4.5807 1.5269 1.5269
Ir 4.5807 4.5807 4.5807
```



Record 3
# Sr2In4CoIr
Theoretical powder XRD pattern, λ = 1.5418 Å (Cu Kα). Input: DFT lattice parameters and positions (PBE).
Kinematic intensities with the Lorentz-polarization factor, no thermal factor.

Top 8 peaks for 2θ = 10–90°, by angle:
2θ 15.92, rel. 55; 2θ 31.38, rel. 100; 2θ 31.53, rel. 44; 2θ 33.54, rel. 73; 2θ 34.14, rel. 47; 2θ 39.01, rel. 54; 2θ 40.57, rel. 68; 2θ 41.00, rel. 50

Cell and atoms:
```
16
Lattice="7.9449 0.0000 0.0000 0.0000 4.4022 0.0000 0.0000 0.0000 11.1313" Properties=species:S:1:pos:R:3 pbc="T T T"
Sr 0.0000 0.0000 0.0000
Sr 0.0000 2.2011 5.5657
Sr 3.9725 0.0000 1.3083
Sr 3.9725 2.2011 6.8739
In 1.5129 0.0000 7.9404
In 1.5129 2.2011 2.3747
In 2.3745 0.0000 4.4486
In 2.3745 2.2011 10.0142
In 5.5704 0.0000 4.4486
In 5.5704 2.2011 10.0142
In 6.4320 0.0000 7.9404
In 6.4320 2.2011 2.3747
Co 0.0000 0.0000 3.0747
Co 0.0000 2.2011 8.6404
Ir 3.9725 0.0000 9.3285
Ir 3.9725 2.2011 3.7628
```



Record 4
# La6InCo13
Theoretical powder XRD pattern, λ = 1.5418 Å (Cu Kα). Input: DFT lattice parameters and positions (PBE).
Kinematic intensities with the Lorentz-polarization factor, no thermal factor.

Top 8 peaks for 2θ = 10–90°, by angle:
2θ 27.41, rel. 91; 2θ 31.53, rel. 100; 2θ 32.18, rel. 50; 2θ 35.37, rel. 100; 2θ 38.34, rel. 51; 2θ 43.26, rel. 68; 2θ 46.84, rel. 48; 2θ 50.89, rel. 43

Cell and atoms:
```
40
Lattice="-4.0124 4.0124 11.5804 4.0124 -4.0124 11.5804 4.0124 4.0124 -11.5804" Properties=species:S:1:pos:R:3 pbc="T T T"
La 2.7119 -1.3005 4.1617
La 0.0000 0.0000 2.3315
La 5.3129 -1.3005 7.4188
La 5.3129 1.3005 4.1617
La 0.0000 0.0000 9.2489
La 2.7119 1.3005 7.4188
La 1.3005 2.7119 4.1617
La 0.0000 0.0000 13.9120
La -1.3005 2.7119 7.4188
La -1.3005 5.3129 4.1617
La 0.0000 0.0000 20.8294
La 1.3005 5.3129 7.4188
In 0.0000 0.0000 5.7902
In 0.0000 0.0000 17.3707
Co 4.0124 0.0000 0.0000
Co 3.1022 0.9102 -2.0349
Co 1.7136 0.5182 0.0000
Co 5.4348 1.4224 -1.2917
Co 3.1022 0.9102 2.0349
Co 3.4943 -2.2988 11.5804
Co 5.4348 1.4224 1.2917
Co 1.4224 2.5900 -1.2917
Co 3.4943 2.2988 0.0000
Co 3.1022 -0.9102 9.5456
Co 1.4224 2.5900 1.2917
Co 1.7136 -0.5182 11.5804
Co 3.1022 -0.9102 13.6153
Co 0.0000 4.0124 0.0000
Co 0.9102 4.9227 -2.0349
Co 2.2988 4.5306 0.0000
Co 2.5900 1.4224 10.2888
Co 0.9102 4.9227 2.0349
Co 0.5182 1.7136 11.5804
Co 2.5900 1.4224 12.8721
Co -1.4224 2.5900 10.2888
Co 0.5182 6.3112 0.0000
Co 0.9102 3.1022 9.5456
Co -1.4224 2.5900 12.8721
Co 2.2988 3.4943 11.5804
Co 0.9102 3.1022 13.6153
```



Record 5
# LuInCoOs
Theoretical powder XRD pattern, λ = 1.5418 Å (Cu Kα). Input: DFT lattice parameters and positions (PBE).
Kinematic intensities with the Lorentz-polarization factor, no thermal factor.

Top 8 peaks for 2θ = 10–90°, by angle:
2θ 23.75, rel. 15; 2θ 39.27, rel. 100; 2θ 46.41, rel. 8; 2θ 56.74, rel. 17; 2θ 62.37, rel. 4; 2θ 71.18, rel. 34; 2θ 84.44, rel. 11; 2θ 89.30, rel. 3

Cell and atoms:
```
16
Lattice="6.4896 0.0000 0.0000 0.0000 6.4896 0.0000 0.0000 0.0000 6.4896" Properties=species:S:1:pos:R:3 pbc="T T T"
Lu 0.0000 0.0000 0.0000
Lu 0.0000 3.2448 3.2448
Lu 3.2448 0.0000 3.2448
Lu 3.2448 3.2448 0.0000
In 0.0000 0.0000 3.2448
In 0.0000 3.2448 0.0000
In 3.2448 0.0000 0.0000
In 3.2448 3.2448 3.2448
Co 1.6224 1.6224 4.8672
Co 1.6224 4.8672 1.6224
Co 4.8672 1.6224 1.6224
Co 4.8672 4.8672 4.8672
Os 1.6224 1.6224 1.6224
Os 1.6224 4.8672 4.8672
Os 4.8672 1.6224 4.8672
Os 4.8672 4.8672 1.6224
```



Record 6
# Lu2Sc2In5Co2
Theoretical powder XRD pattern, λ = 1.5418 Å (Cu Kα). Input: DFT lattice parameters and positions (PBE).
Kinematic intensities with the Lorentz-polarization factor, no thermal factor.

Top 8 peaks for 2θ = 10–90°, by angle:
2θ 28.11, rel. 30; 2θ 32.36, rel. 57; 2θ 34.39, rel. 40; 2θ 35.57, rel. 63; 2θ 35.70, rel. 100; 2θ 36.04, rel. 44; 2θ 37.58, rel. 29; 2θ 39.81, rel. 56

Cell and atoms:
```
11
Lattice="7.5671 0.0000 0.0000 0.0000 3.3808 0.0000 -0.8051 0.0000 9.2317" Properties=species:S:1:pos:R:3 pbc="T T T"
Lu 1.1920 0.0000 4.0367
Lu 5.5701 0.0000 5.1949
Sc 0.7021 0.0000 7.7011
Sc 6.0600 0.0000 1.5306
In 1.0383 1.6904 1.2602
In 2.8840 1.6904 6.2011
In 3.7836 1.6904 0.0000
In 3.8781 1.6904 3.0306
In 5.7238 1.6904 7.9715
Co 0.0558 1.6904 5.8887
Co 6.7063 1.6904 3.3430
```



Record 7
# Tm2Lu2In5Co2
Theoretical powder XRD pattern, λ = 1.5418 Å (Cu Kα). Input: DFT lattice parameters and positions (PBE).
Kinematic intensities with the Lorentz-polarization factor, no thermal factor.

Top 8 peaks for 2θ = 10–90°, by angle:
2θ 32.04, rel. 38; 2θ 33.58, rel. 46; 2θ 34.75, rel. 100; 2θ 35.31, rel. 40; 2θ 35.78, rel. 37; 2θ 36.69, rel. 25; 2θ 38.78, rel. 35; 2θ 38.96, rel. 45

Cell and atoms:
```
11
Lattice="7.6522 0.0000 0.0000 0.0000 3.4991 0.0000 -0.7760 0.0000 9.3044" Properties=species:S:1:pos:R:3 pbc="T T T"
Tm 1.1076 0.0000 3.1445
Tm 5.7686 0.0000 6.1599
Lu 0.8394 0.0000 8.7475
Lu 6.0368 0.0000 0.5569
In 0.7365 1.7495 6.0109
In 3.3360 1.7495 1.5562
In 3.4381 1.7495 4.6522
In 3.5402 1.7495 7.7482
In 6.1397 1.7495 3.2935
Co 0.4439 1.7495 1.2114
Co 6.4323 1.7495 8.0930
```